Simulated X-ray diffraction stick pattern
Compound: SrMn4As
Radiation: Cu Kα
Structure: a PBE-relaxed structure
Neutral-atom scattering factors, no anomalous dispersion.

Cell and atoms:
a = 7.7911 Å, b = 7.7911 Å, c = 7.7911 Å
α = 90.00°, β = 90.00°, γ = 90.00°
Space group F-43m (No. 216)
Asymmetric unit:
Sr1 0.0000 0.0000 0.0000 x4
Mn1 0.1259 0.1259 0.3741 x16
As1 0.2500 0.2500 0.7500 x4

Principal peaks in the range 2θ = 5–70°, most intense first:
2theta  I/Imax  (hkl)
38.3  100.0  3 1 1
32.5  41.2  2 2 0
61.9  30.4  3 3 3
40.1  27.8  2 2 2
68.1  24.1  4 4 0
58.0  15.3  4 2 2
46.6  0.8  4 0 0